Starting from a GGA-PBE-relaxed structure, the powder diffractogram of RbLaNbPdBr was simulated for CuKα.

Structure:
Unit cell a=4.3551 b=4.3551 c=29.4520 alpha=90.00 beta=90.00 gamma=120.00
Space group R3m (No. 160, hexagonal axes)
Unique sites:
Rb (0.0000, 0.0000, 0.0000) x3
La (0.0000, 0.0000, 0.1749) x3
Nb (0.0000, 0.0000, 0.7658) x3
Pd (0.0000, 0.0000, 0.4322) x3
Br (0.0000, 0.0000, 0.5791) x3

Principal peaks in the range 10 to 80 degrees two-theta, by angle:
- 26.55 deg, I 184, (1 0 4)
- 28.09 deg, I 1000, (0 1 5)
- 31.86 deg, I 589, (1 0 7)
- 36.61 deg, I 210, (0 0 12)
- 41.47 deg, I 624, (1 1 0)
- 50.84 deg, I 188, (2 0 5)
- 56.50 deg, I 352, (1 1 12)
- 67.62 deg, I 158, (1 2 5)